No. 1
# Dy3CuPt
Theoretical X-ray powder pattern, Cu Ka. Input: a PBE-relaxed structure.
Kinematic intensities with the Lorentz-polarization factor, no thermal factor.

Structural model:
abc: 3.7883 7.0392 9.4516
angles: 90.00 90.00 90.00
Sites, in units of the cell vectors:
Dy: 0.2500 0.0087 0.1847
Dy: 0.2500 0.2500 0.5513
Dy: 0.2500 0.4913 0.1847
Dy: 0.7500 0.5087 0.8153
Dy: 0.7500 0.7500 0.4487
Dy: 0.7500 0.9913 0.8153
Cu: 0.2500 0.2500 0.9311
Cu: 0.7500 0.7500 0.0689
Pt: 0.2500 0.7500 0.6663
Pt: 0.7500 0.2500 0.3337

Principal peaks in the range 2θ = 10–80°, in order of rising 2θ:
2θ = 27.03°, I = 35.7; 2θ = 30.24°, I = 54.5; 2θ = 31.70°, I = 21.4; 2θ = 32.86°, I = 29.2; 2θ = 36.11°, I = 100.0; 2θ = 38.34°, I = 25.9; 2θ = 39.34°, I = 21.6; 2θ = 48.03°, I = 21.3; 2θ = 51.97°, I = 17.8; 2θ = 63.09°, I = 16.5


No. 2
# Er3ZrIr4
Theoretical X-ray powder pattern, Cu Ka. Input: a PBE-relaxed structure.
Kinematic intensities with the Lorentz-polarization factor, no thermal factor.

Structural model:
abc: 3.2425 4.8673 9.7550
angles: 90.00 90.00 90.00
Sites, in units of the cell vectors:
Er: 0.0000 0.0000 0.0000
Er: 0.0000 0.5000 0.2494
Er: 0.0000 0.5000 0.7506
Zr: 0.0000 0.0000 0.5000
Ir: 0.5000 0.0000 0.2653
Ir: 0.5000 0.0000 0.7347
Ir: 0.5000 0.5000 0.0000
Ir: 0.5000 0.5000 0.5000

Principal peaks in the range 2θ = 10–80°, in order of rising 2θ:
2θ = 27.47°, I = 1.9; 2θ = 36.90°, I = 54.0; 2θ = 38.11°, I = 100.0; 2θ = 53.17°, I = 18.7; 2θ = 56.79°, I = 8.0; 2θ = 67.23°, I = 17.8; 2θ = 67.33°, I = 19.4; 2θ = 69.67°, I = 17.1; 2θ = 78.43°, I = 2.7; 2θ = 78.63°, I = 3.1


No. 3
# MgFeAgRh
Theoretical X-ray powder pattern, Cu Ka. Input: a PBE-relaxed structure.
Kinematic intensities with the Lorentz-polarization factor, no thermal factor.

Structural model:
abc: 4.4181 4.4181 4.4181
angles: 60.00 60.00 60.00
Sites, in units of the cell vectors:
Mg: 0.0000 0.0000 0.0000
Fe: 0.5000 0.5000 0.5000
Ag: 0.7500 0.7500 0.7500
Rh: 0.2500 0.2500 0.2500

Principal peaks in the range 2θ = 10–80°, in order of rising 2θ:
2θ = 24.68°, I = 3.3; 2θ = 28.57°, I = 25.7; 2θ = 40.85°, I = 100.0; 2θ = 48.31°, I = 1.4; 2θ = 50.61°, I = 6.9; 2θ = 59.15°, I = 16.0; 2θ = 65.07°, I = 0.5; 2θ = 66.98°, I = 8.9; 2θ = 74.38°, I = 31.4


No. 4
# PrSm2Y2Er
Theoretical X-ray powder pattern, Cu Ka. Input: a PBE-relaxed structure.
Kinematic intensities with the Lorentz-polarization factor, no thermal factor.

Structural model:
abc: 6.6109 17.8747 3.4302
angles: 90.00 90.00 90.00
Sites, in units of the cell vectors:
Pr: 0.0000 0.0000 0.0000
Pr: 0.5000 0.5000 0.5000
Sm: 0.2204 0.3517 0.5000
Sm: 0.2796 0.8517 0.0000
Sm: 0.7204 0.1483 0.0000
Sm: 0.7796 0.6483 0.5000
Y: 0.2244 0.1838 0.0000
Y: 0.2756 0.6838 0.5000
Y: 0.7244 0.3162 0.5000
Y: 0.7756 0.8162 0.0000
Er: 0.0000 0.5000 0.0000
Er: 0.5000 0.0000 0.5000

Principal peaks in the range 2θ = 10–80°, in order of rising 2θ:
2θ = 16.68°, I = 19.1; 2θ = 28.80°, I = 61.4; 2θ = 29.33°, I = 18.2; 2θ = 30.03°, I = 100.0; 2θ = 31.03°, I = 36.6; 2θ = 33.00°, I = 23.0; 2θ = 33.73°, I = 49.1; 2θ = 35.68°, I = 33.6; 2θ = 40.82°, I = 30.5; 2θ = 58.68°, I = 16.6


No. 5
# LaPmS2O
Theoretical X-ray powder pattern, Cu Ka. Input: a PBE-relaxed structure.
Kinematic intensities with the Lorentz-polarization factor, no thermal factor.

Structural model:
abc: 4.0380 4.0380 14.2900
angles: 90.00 90.00 90.00
Sites, in units of the cell vectors:
La: 0.2500 0.2500 0.0876
La: 0.7500 0.7500 0.9124
Pm: 0.2500 0.2500 0.6240
Pm: 0.7500 0.7500 0.3760
S: 0.2500 0.2500 0.4081
S: 0.2500 0.2500 0.8036
S: 0.7500 0.7500 0.1964
S: 0.7500 0.7500 0.5919
O: 0.2500 0.7500 0.0000
O: 0.7500 0.2500 0.0000

Principal peaks in the range 2θ = 10–80°, in order of rising 2θ:
2θ = 24.92°, I = 28.6; 2θ = 25.34°, I = 100.0; 2θ = 31.33°, I = 71.1; 2θ = 33.49°, I = 15.7; 2θ = 38.59°, I = 19.2; 2θ = 40.44°, I = 41.6; 2θ = 44.15°, I = 17.1; 2θ = 44.89°, I = 30.8; 2θ = 52.03°, I = 15.5; 2θ = 52.25°, I = 29.2


No. 6
# Tm5Te2Ru
Theoretical X-ray powder pattern, Cu Ka. Input: a PBE-relaxed structure.
Kinematic intensities with the Lorentz-polarization factor, no thermal factor.

Structural model:
abc: 7.9903 12.7500 4.1761
angles: 90.00 90.00 90.00
Sites, in units of the cell vectors:
Tm: 0.0000 0.0000 0.0000
Tm: 0.1603 0.3165 0.0000
Tm: 0.1702 0.5795 0.5000
Tm: 0.3298 0.0795 0.5000
Tm: 0.3397 0.8165 0.0000
Tm: 0.5000 0.5000 0.0000
Tm: 0.6603 0.1835 0.0000
Tm: 0.6702 0.9205 0.5000
Tm: 0.8298 0.4205 0.5000
Tm: 0.8397 0.6835 0.0000
Te: 0.0411 0.8219 0.5000
Te: 0.4589 0.3219 0.5000
Te: 0.5411 0.6781 0.5000
Te: 0.9589 0.1781 0.5000
Ru: 0.0000 0.5000 0.0000
Ru: 0.5000 0.0000 0.0000

Principal peaks in the range 2θ = 10–80°, in order of rising 2θ:
2θ = 27.87°, I = 78.4; 2θ = 30.19°, I = 71.8; 2θ = 31.78°, I = 91.7; 2θ = 32.07°, I = 75.7; 2θ = 34.09°, I = 100.0; 2θ = 34.40°, I = 44.4; 2θ = 43.08°, I = 23.8; 2θ = 43.33°, I = 50.9; 2θ = 52.79°, I = 26.0; 2θ = 53.72°, I = 28.8


No. 7
# Hf3TiSe
Theoretical X-ray powder pattern, Cu Ka. Input: a PBE-relaxed structure.
Kinematic intensities with the Lorentz-polarization factor, no thermal factor.

Structural model:
abc: 6.7246 6.7246 6.7246
angles: 90.56 118.04 121.35
Sites, in units of the cell vectors:
Hf: 0.1939 0.9907 0.7032
Hf: 0.2480 0.0237 0.2717
Hf: 0.2480 0.4763 0.7243
Hf: 0.2875 0.4907 0.2968
Hf: 0.7520 0.5237 0.2757
Hf: 0.7520 0.9763 0.7283
Ti: 0.7277 0.5151 0.7126
Ti: 0.8026 0.0151 0.2874
Se: 0.2658 0.7538 0.0120
Se: 0.7418 0.2538 0.9880

Principal peaks in the range 2θ = 10–80°, in order of rising 2θ:
2θ = 18.59°, I = 22.1; 2θ = 25.74°, I = 20.7; 2θ = 32.04°, I = 80.8; 2θ = 33.14°, I = 85.0; 2θ = 37.70°, I = 100.0; 2θ = 38.03°, I = 45.2; 2θ = 41.74°, I = 33.8; 2θ = 54.63°, I = 55.6; 2θ = 55.82°, I = 20.3; 2θ = 65.83°, I = 20.0


No. 8
# RbBaS14
Theoretical X-ray powder pattern, Cu Ka. Input: a PBE-relaxed structure.
Kinematic intensities with the Lorentz-polarization factor, no thermal factor.

Structural model:
abc: 11.7647 11.7647 11.7647
angles: 140.01 107.27 86.39
Sites, in units of the cell vectors:
Rb: 0.3073 0.0573 0.2500
Rb: 0.6927 0.9427 0.7500
Ba: 0.0000 0.0000 0.5000
Ba: 0.0000 0.5000 0.0000
S: 0.0103 0.6323 0.3780
S: 0.0175 0.1347 0.8828
S: 0.0531 0.1661 0.3870
S: 0.0531 0.6661 0.8870
S: 0.2458 0.3677 0.8780
S: 0.2481 0.8653 0.3828
S: 0.2791 0.1661 0.6130
S: 0.2791 0.6661 0.1130
S: 0.2931 0.6132 0.6800
S: 0.3187 0.4494 0.3815
S: 0.3187 0.9372 0.8693
S: 0.4321 0.0628 0.8815
S: 0.4321 0.5506 0.3693
S: 0.4332 0.6132 0.8200
S: 0.5668 0.3868 0.1800
S: 0.5679 0.4494 0.6307
S: 0.5679 0.9372 0.1185
S: 0.6813 0.0628 0.1307
S: 0.6813 0.5506 0.6185
S: 0.7069 0.3868 0.3200
S: 0.7209 0.3339 0.8870
S: 0.7209 0.8339 0.3870
S: 0.7519 0.1347 0.6172
S: 0.7542 0.6323 0.1220
S: 0.9469 0.3339 0.1130
S: 0.9469 0.8339 0.6130
S: 0.9825 0.8653 0.1172
S: 0.9897 0.3677 0.6220

Principal peaks in the range 2θ = 10–80°, in order of rising 2θ:
2θ = 12.69°, I = 100.0; 2θ = 24.42°, I = 43.9; 2θ = 24.68°, I = 91.8; 2θ = 27.63°, I = 31.6; 2θ = 29.83°, I = 63.0; 2θ = 30.47°, I = 26.5; 2θ = 33.11°, I = 38.4; 2θ = 34.97°, I = 50.8; 2θ = 35.81°, I = 31.0; 2θ = 55.22°, I = 32.7


No. 9
# TbPm2Sm5Ho
Theoretical X-ray powder pattern, Cu Ka. Input: a PBE-relaxed structure.
Kinematic intensities with the Lorentz-polarization factor, no thermal factor.

Structural model:
abc: 10.1397 10.1397 10.1397
angles: 129.37 129.37 74.42
Sites, in units of the cell vectors:
Tb: 0.2500 0.2500 0.0000
Tb: 0.7500 0.7500 0.0000
Pm: 0.1191 0.6191 0.7382
Pm: 0.3809 0.1191 0.5000
Pm: 0.6191 0.8809 0.5000
Pm: 0.8809 0.3809 0.2618
Sm: 0.0000 0.0000 0.0000
Sm: 0.0718 0.1467 0.5000
Sm: 0.1467 0.6467 0.0749
Sm: 0.3533 0.4282 0.5000
Sm: 0.4282 0.9282 0.0749
Sm: 0.5000 0.5000 0.0000
Sm: 0.5718 0.0718 0.9251
Sm: 0.6467 0.5718 0.5000
Sm: 0.8533 0.3533 0.9251
Sm: 0.9282 0.8533 0.5000
Ho: 0.2500 0.7500 0.5000
Ho: 0.7500 0.2500 0.5000

Principal peaks in the range 2θ = 10–80°, in order of rising 2θ:
2θ = 28.36°, I = 45.7; 2θ = 29.13°, I = 51.1; 2θ = 30.25°, I = 100.0; 2θ = 32.66°, I = 11.5; 2θ = 37.82°, I = 14.7; 2θ = 43.21°, I = 11.0; 2θ = 44.89°, I = 12.6; 2θ = 52.34°, I = 24.4; 2θ = 54.41°, I = 14.3; 2θ = 55.18°, I = 12.1


No. 10
# PmPr14Pu
Theoretical X-ray powder pattern, Cu Ka. Input: a PBE-relaxed structure.
Kinematic intensities with the Lorentz-polarization factor, no thermal factor.

Structural model:
abc: 7.3859 7.3859 10.4301
angles: 90.00 90.00 90.00
Sites, in units of the cell vectors:
Pm: 0.0000 0.0000 0.0000
Pr: 0.0000 0.0000 0.5000
Pr: 0.0000 0.5000 0.0000
Pr: 0.0000 0.5000 0.5000
Pr: 0.2521 0.2521 0.2458
Pr: 0.2521 0.2521 0.7542
Pr: 0.2521 0.7479 0.2458
Pr: 0.2521 0.7479 0.7542
Pr: 0.5000 0.0000 0.0000
Pr: 0.5000 0.0000 0.5000
Pr: 0.5000 0.5000 0.5000
Pr: 0.7479 0.2521 0.2458
Pr: 0.7479 0.2521 0.7542
Pr: 0.7479 0.7479 0.2458
Pr: 0.7479 0.7479 0.7542
Pu: 0.5000 0.5000 0.0000

Principal peaks in the range 2θ = 10–80°, in order of rising 2θ:
2θ = 11.98°, I = 0.7; 2θ = 14.70°, I = 0.6; 2θ = 29.64°, I = 100.0; 2θ = 34.36°, I = 50.8; 2θ = 35.45°, I = 0.6; 2θ = 49.38°, I = 36.5; 2θ = 58.66°, I = 43.5; 2θ = 61.54°, I = 12.5; 2θ = 72.38°, I = 3.9; 2θ = 72.50°, I = 1.9


No. 11
# Nd2SmHo4Tm2
Theoretical X-ray powder pattern, Cu Ka. Input: a PBE-relaxed structure.
Kinematic intensities with the Lorentz-polarization factor, no thermal factor.

Structural model:
abc: 5.9983 6.6094 8.5840
angles: 79.98 70.38 64.98
Sites, in units of the cell vectors:
Nd: 0.2314 0.3264 0.3429
Nd: 0.7686 0.6736 0.6571
Sm: 0.5000 0.0000 0.0000
Ho: 0.1185 0.1287 0.7601
Ho: 0.2381 0.5779 0.8843
Ho: 0.7619 0.4221 0.1157
Ho: 0.8815 0.8713 0.2399
Tm: 0.3201 0.7697 0.4459
Tm: 0.6799 0.2303 0.5541

Principal peaks in the range 2θ = 10–80°, in order of rising 2θ:
2θ = 29.81°, I = 40.9; 2θ = 31.49°, I = 58.8; 2θ = 31.82°, I = 100.0; 2θ = 32.35°, I = 45.4; 2θ = 32.39°, I = 49.1; 2θ = 43.06°, I = 14.8; 2θ = 48.08°, I = 16.8; 2θ = 55.92°, I = 20.2; 2θ = 56.98°, I = 18.1; 2θ = 58.61°, I = 18.3


No. 12
# SmHo4Er15
Theoretical X-ray powder pattern, Cu Ka. Input: a PBE-relaxed structure.
Kinematic intensities with the Lorentz-polarization factor, no thermal factor.

Structural model:
abc: 5.4885 5.4885 22.7204
angles: 90.00 90.00 90.00
Sites, in units of the cell vectors:
Sm: 0.0000 0.0000 0.0000
Ho: 0.0000 0.0000 0.2528
Ho: 0.0000 0.0000 0.4198
Ho: 0.0000 0.0000 0.5802
Ho: 0.0000 0.0000 0.7472
Er: 0.0000 0.5000 0.1493
Er: 0.0000 0.5000 0.3456
Er: 0.0000 0.5000 0.5000
Er: 0.0000 0.5000 0.6544
Er: 0.0000 0.5000 0.8507
Er: 0.5000 0.0000 0.1493
Er: 0.5000 0.0000 0.3456
Er: 0.5000 0.0000 0.5000
Er: 0.5000 0.0000 0.6544
Er: 0.5000 0.0000 0.8507
Er: 0.5000 0.5000 0.0000
Er: 0.5000 0.5000 0.1175
Er: 0.5000 0.5000 0.2517
Er: 0.5000 0.5000 0.7483
Er: 0.5000 0.5000 0.8825

Principal peaks in the range 2θ = 10–80°, in order of rising 2θ:
2θ = 16.62°, I = 28.7; 2θ = 23.25°, I = 14.7; 2θ = 27.84°, I = 40.8; 2θ = 32.63°, I = 100.0; 2θ = 33.05°, I = 86.9; 2θ = 36.07°, I = 17.2; 2θ = 45.99°, I = 20.6; 2θ = 46.82°, I = 36.9; 2θ = 58.50°, I = 34.3; 2θ = 77.83°, I = 16.6